Diffraction record for BaNaIn2Pb. The X-ray diffraction stick pattern is calculated, not measured: it uses a GGA-PBE-relaxed structure and λ = 1.5418 Å (Cu Kα).
Lines closer than 0.1° are merged.

Most intense lines, 5° ≤ 2θ ≤ 70°, in order of rising 2θ:
Position (°2θ)	Rel. int.	(hkl)
18.72	37	0 1 1
25.26	56	1 1 0
26.71	39	0 1 3
27.13	61	1 0 3
28.66	100	1 1 2
35.37	43	0 2 0
36.67	39	2 0 0
37.18	42	1 1 4
38.22	43	0 1 5
38.53	34	1 0 5

Crystal structure
a = 4.902 Å, b = 5.075 Å, c = 13.289 Å
α = 90.00°, β = 90.00°, γ = 90.00°
Space group Imm2 (No. 44)
Unique sites:
Ba 0.000 0.000 0.000
Na 0.000 0.500 0.743
In 0.000 0.000 0.384
In 0.000 0.500 0.255
Pb 0.000 0.000 0.608